Record 1
The following is a simulated powder diffractogram of Nb3Cr2N6. It was derived from a PBE-relaxed structure, using Cu Ka.
Peak positions follow from Bragg's law for the DFT cell and can differ from measured ones.

Cell and atoms:
Lattice parameters (Å, degrees): 3.6316 3.8440 8.5444 95.49 102.24 90.00
Atoms (fractional coordinates):
1 Nb 0.0000 0.0000 0.0000
2 Nb 0.1687 0.0226 0.3368
3 Nb 0.8313 0.9774 0.6632
4 Cr 0.3799 0.4755 0.7607
5 Cr 0.6201 0.5245 0.2393
6 N 0.0851 0.4933 0.1691
7 N 0.2797 0.2792 0.5601
8 N 0.4119 0.9845 0.8243
9 N 0.5881 0.0155 0.1757
10 N 0.7203 0.7208 0.4399
11 N 0.9149 0.5067 0.8309

The 8 most intense peaks (2θ from 5° to 70°), low angle first:
d 3.826, 23.3°, I 51; d 3.548, 25.1°, I 31; d 2.629, 34.1°, I 100; d 2.452, 36.7°, I 74; d 2.356, 38.2°, I 42; d 2.146, 42.1°, I 34; d 1.913, 47.5°, I 40; d 1.816, 50.2°, I 43



Record 2
The following is a simulated powder diffractogram of Th2NbCr2N6. It was derived from a PBE-relaxed structure, using Cu Ka.
Peak positions follow from Bragg's law for the DFT cell and can differ from measured ones.

Cell and atoms:
Lattice parameters (Å, degrees): 6.6025 6.6025 6.6025 48.03 48.03 48.03
Atoms (fractional coordinates):
1 Th 0.2145 0.2145 0.2145
2 Th 0.7855 0.7855 0.7855
3 Nb 0.0000 0.0000 0.0000
4 Cr 0.3928 0.3928 0.3928
5 Cr 0.6072 0.6072 0.6072
6 N 0.2252 0.7440 0.7440
7 N 0.2560 0.2560 0.7748
8 N 0.2560 0.7748 0.2560
9 N 0.7440 0.2252 0.7440
10 N 0.7440 0.7440 0.2252
11 N 0.7748 0.2560 0.2560

The 8 most intense peaks (2θ from 5° to 70°), low angle first:
d 4.108, 21.6°, I 46; d 3.186, 28.0°, I 25; d 2.796, 32.0°, I 99; d 2.687, 33.3°, I 100; d 2.249, 40.1°, I 20; d 1.937, 46.9°, I 39; d 1.572, 58.8°, I 36; d 1.552, 59.6°, I 19



Record 3
The following is a simulated powder diffractogram of NdPa3Cr4N12. It was derived from a PBE-relaxed structure, using Cu Ka.
Peak positions follow from Bragg's law for the DFT cell and can differ from measured ones.

Cell and atoms:
Lattice parameters (Å, degrees): 7.0881 7.0881 7.0881 105.25 105.25 105.25
Atoms (fractional coordinates):
1 Nd 0.0000 0.0000 0.0000
2 Pa 0.0000 0.5458 0.4542
3 Pa 0.4542 0.0000 0.5458
4 Pa 0.5458 0.4542 0.0000
5 Cr 0.0469 0.5000 0.9531
6 Cr 0.5000 0.5000 0.5000
7 Cr 0.5000 0.9531 0.0469
8 Cr 0.9531 0.0469 0.5000
9 N 0.0341 0.6521 0.7983
10 N 0.1074 0.8926 0.5000
11 N 0.2017 0.3479 0.9659
12 N 0.3425 0.6575 0.5000
13 N 0.3479 0.9659 0.2017
14 N 0.5000 0.1074 0.8926
15 N 0.5000 0.3425 0.6575
16 N 0.6521 0.7983 0.0341
17 N 0.6575 0.5000 0.3425
18 N 0.7983 0.0341 0.6521
19 N 0.8926 0.5000 0.1074
20 N 0.9659 0.2017 0.3479

The 8 most intense peaks (2θ from 5° to 70°), low angle first:
d 5.633, 15.7°, I 21; d 4.225, 21.0°, I 59; d 3.380, 26.4°, I 25; d 3.194, 27.9°, I 100; d 2.817, 31.8°, I 45; d 2.577, 34.8°, I 27; d 1.939, 46.9°, I 24; d 1.562, 59.1°, I 19



Record 4
The following is a simulated powder diffractogram of Cr3Ni3N. It was derived from a PBE-relaxed structure, using Cu Ka.
Peak positions follow from Bragg's law for the DFT cell and can differ from measured ones.

Cell and atoms:
Lattice parameters (Å, degrees): 7.4494 7.4494 7.4494 60.00 60.00 60.00
Atoms (fractional coordinates):
1 Cr 0.0647 0.0647 0.6853
2 Cr 0.0647 0.6853 0.0647
3 Cr 0.0647 0.6853 0.6853
4 Cr 0.3147 0.3147 0.9353
5 Cr 0.3147 0.9353 0.3147
6 Cr 0.3147 0.9353 0.9353
7 Cr 0.6853 0.0647 0.0647
8 Cr 0.6853 0.0647 0.6853
9 Cr 0.6853 0.6853 0.0647
10 Cr 0.9353 0.3147 0.3147
11 Cr 0.9353 0.3147 0.9353
12 Cr 0.9353 0.9353 0.3147
13 Ni 0.0000 0.5000 0.5000
14 Ni 0.2883 0.2883 0.2883
15 Ni 0.2883 0.2883 0.6350
16 Ni 0.2883 0.6350 0.2883
17 Ni 0.3650 0.7117 0.7117
18 Ni 0.5000 0.0000 0.5000
19 Ni 0.5000 0.5000 0.0000
20 Ni 0.5000 0.5000 0.5000
21 Ni 0.6350 0.2883 0.2883
22 Ni 0.7117 0.3650 0.7117
23 Ni 0.7117 0.7117 0.3650
24 Ni 0.7117 0.7117 0.7117
25 N 0.0000 0.0000 0.0000
26 N 0.0000 0.0000 0.5000
27 N 0.0000 0.5000 0.0000
28 N 0.5000 0.0000 0.0000

The 8 most intense peaks (2θ from 5° to 70°), low angle first:
d 6.082, 14.6°, I 12; d 2.417, 37.2°, I 5; d 2.150, 42.0°, I 28; d 2.027, 44.7°, I 100; d 1.862, 48.9°, I 34; d 1.756, 52.1°, I 11; d 1.588, 58.1°, I 5; d 1.372, 68.4°, I 5



Record 5
The following is a simulated powder diffractogram of Rb2NpCrN4. It was derived from a PBE-relaxed structure, using Cu Ka.
Peak positions follow from Bragg's law for the DFT cell and can differ from measured ones.

Cell and atoms:
Lattice parameters (Å, degrees): 6.3076 7.0776 7.1056 90.00 90.00 90.00
Atoms (fractional coordinates):
1 Rb 0.2500 0.0054 0.2110
2 Rb 0.2500 0.4946 0.2110
3 Rb 0.7500 0.5054 0.7890
4 Rb 0.7500 0.9946 0.7890
5 Np 0.2500 0.2500 0.6786
6 Np 0.7500 0.7500 0.3214
7 Cr 0.2500 0.7500 0.6433
8 Cr 0.7500 0.2500 0.3567
9 N 0.0231 0.7500 0.5016
10 N 0.2500 0.5361 0.7793
11 N 0.2500 0.9639 0.7793
12 N 0.4769 0.7500 0.5016
13 N 0.5231 0.2500 0.4984
14 N 0.7500 0.0361 0.2207
15 N 0.7500 0.4639 0.2207
16 N 0.9769 0.2500 0.4984

The 8 most intense peaks (2θ from 5° to 70°), low angle first:
d 5.015, 17.7°, I 26; d 4.711, 18.8°, I 41; d 3.553, 25.1°, I 25; d 3.170, 28.2°, I 24; d 3.154, 28.3°, I 41; d 3.096, 28.8°, I 34; d 2.831, 31.6°, I 100; d 1.752, 52.2°, I 24



Record 6
The following is a simulated powder diffractogram of Y2NpCrN5. It was derived from a PBE-relaxed structure, using Cu Ka.
Peak positions follow from Bragg's law for the DFT cell and can differ from measured ones.

Cell and atoms:
Lattice parameters (Å, degrees): 6.9709 6.9709 10.1375 90.00 90.00 151.84
Atoms (fractional coordinates):
1 Y 0.1040 0.8960 0.5000
2 Y 0.1326 0.8674 0.1144
3 Y 0.8674 0.1326 0.6144
4 Y 0.8960 0.1040 0.0000
5 Np 0.2102 0.7898 0.8222
6 Np 0.7898 0.2102 0.3222
7 Cr 0.4831 0.5169 0.2723
8 Cr 0.5169 0.4831 0.7723
9 N 0.0453 0.9547 0.8490
10 N 0.2825 0.7175 0.4644
11 N 0.3168 0.6832 0.1918
12 N 0.3747 0.6253 0.8116
13 N 0.4926 0.5074 0.5935
14 N 0.5074 0.4926 0.0935
15 N 0.6253 0.3747 0.3116
16 N 0.6832 0.3168 0.6918
17 N 0.7175 0.2825 0.9644
18 N 0.9547 0.0453 0.3490

The 8 most intense peaks (2θ from 5° to 70°), low angle first:
d 4.056, 21.9°, I 43; d 3.129, 28.5°, I 50; d 3.023, 29.6°, I 50; d 2.813, 31.8°, I 46; d 2.710, 33.1°, I 49; d 2.618, 34.3°, I 45; d 2.357, 38.2°, I 100; d 1.952, 46.5°, I 42